Computed X-ray diffraction stick pattern of CeNd2TmP4 for Cu Ka, from a cell relaxed with PBE.
Peak positions follow from Bragg's law for the DFT cell and can differ from measured ones.

Structure:
Lattice parameters (Å, degrees): 7.067 4.092 7.092 90.00 109.39 90.00
Space group P2/m (No. 10)
Inequivalent atoms, fractional coordinates:
Ce1 0.000 0.000 0.000 [1 per cell]
Nd1 0.000 0.500 0.500 [1 per cell]
Nd2 0.500 0.000 0.500 [1 per cell]
Tm1 0.500 0.500 0.000 [1 per cell]
P1 0.249 0.500 0.240 [2 per cell]
P2 0.256 0.000 0.763 [2 per cell]

Peak list (6 most intense, 2θ = 10–90°, sorted by position)
26.7 deg, intensity 82
30.9 deg, intensity 100
44.3 deg, intensity 49
44.4 deg, intensity 24
52.4 deg, intensity 24
73.1 deg, intensity 22